Structure and calculated XRD peak list of CaZnPb2 (a cell relaxed with PBE; Cu Ka).
Kinematic intensities with the Lorentz-polarization factor, no thermal factor.

Top 10 peaks for 2θ = 15–90°, by angle:
2θ (°)  d (Å)  I (rel.)  hkl
18.39  4.825  66  0 1 0
24.90  3.576  40  1 0 0
27.74  3.216  25  0 0 2
30.28  2.952  42  1 0 1
31.13  2.873  31  1 1 0
32.65  2.742  58  1 1 -1
33.49  2.676  100  0 1 2
37.27  2.413  38  0 2 0
39.61  2.275  30  1 1 -2
64.84  1.438  23  0 3 2

Structure:
```
data_CaZnPb2
_cell_length_a 3.612
_cell_length_b 4.825
_cell_length_c 6.497
_cell_angle_alpha 90.00
_cell_angle_beta 98.17
_cell_angle_gamma 90.00
_symmetry_space_group_name_H-M 'P 1 2/m 1'
_symmetry_Int_Tables_number 10
loop_
_symmetry_equiv_pos_as_xyz
'x,y,z'
'-x,-y,-z'
'-x,y,-z'
'x,-y,z'
loop_
_atom_site_label
_atom_site_fract_x
_atom_site_fract_y
_atom_site_fract_z
_atom_site_occupancy
Ca1 0.000 0.000 0.000 1
Zn1 0.500 0.000 0.500 1
Pb1 0.376 0.500 0.740 1
```